This entry pairs a crystal structure of Tm2CdReO8 with its computed X-ray diffraction stick pattern. Radiation: Cu Kα (λ = 1.5418 Å). Structure: DFT lattice parameters and positions (PBE).
Neutral-atom scattering factors, no anomalous dispersion.

Principal peaks in the range 10 to 90 degrees two-theta, by angle:
2θ = 25.2°, 3.535 Å, I 54.3, (0 2 0); 2θ = 26.2°, 3.406 Å, I 47.9, (2 0 0); 2θ = 31.6°, 2.827 Å, I 100.0, (1 1 2); 2θ = 36.6°, 2.453 Å, I 27.1, (2 2 0); 2θ = 48.6°, 1.873 Å, I 37.4, (1 3 2); 2θ = 49.7°, 1.833 Å, I 34.8, (3 1 2); 2θ = 62.9°, 1.478 Å, I 19.8, (3 3 2); 2θ = 66.1°, 1.414 Å, I 11.6, (2 2 4)

Cell and atoms:
```
data_Tm2CdReO8
_chemical_formula_sum 'Tm4 Cd2 Re2 O16'
_cell_length_a 6.812
_cell_length_b 7.069
_cell_length_c 6.919
_cell_angle_alpha 90.00
_cell_angle_beta 90.00
_cell_angle_gamma 90.00
_space_group_name_H-M_alt 'C m m m'
_space_group_IT_number 65
_space_group_name_Hall '-C 2 2'
loop_
_atom_site_label
_atom_site_fract_x
_atom_site_fract_y
_atom_site_fract_z
Tm1 0.000 0.000 0.249
Cd1 0.000 0.500 0.000
Re1 0.000 0.500 0.500
O1 0.000 0.313 0.304
O2 0.193 0.000 0.000
O3 0.219 0.000 0.500
```